Structure and computed X-ray diffraction stick pattern of ScVBi2O6 (the GGA+U geometry in Alexandria; Cu Kα).

Structure:
abc: 5.6651 5.7276 5.7776
angles: 119.15 90.18 119.50
Positions (direct):
Sc: 0.0000 0.0000 0.0000
V: 0.4941 0.9873 0.4837
Bi: 0.2749 0.5556 0.8371
Bi: 0.7835 0.5615 0.3445
O: 0.1630 0.4867 0.1962
O: 0.2165 0.0336 0.6864
O: 0.3323 0.0346 0.1986
O: 0.6596 0.8756 0.6927
O: 0.7150 0.8817 0.2065
O: 0.8300 0.4867 0.6970

Most intense lines, 10 to 90 degrees two-theta, in order of rising 2θ:
Position (°2θ)	I (rel.)
21.54	51
21.98	100
30.72	98
30.96	48
31.21	96
31.59	47
38.56	36
43.89	24
44.89	22
49.98	27


Structure and computed X-ray diffraction stick pattern of ScBi2WO8 (the GGA+U geometry in Alexandria; Cu Kα).

Structure:
abc: 5.0937 5.0937 6.6658
angles: 90.00 90.00 90.79
Positions (direct):
Sc: 0.0000 0.0000 0.0000
Bi: 0.5000 0.5000 0.2491
Bi: 0.5000 0.5000 0.7509
W: 0.0000 0.0000 0.5000
O: 0.1760 0.8240 0.2738
O: 0.1760 0.8240 0.7262
O: 0.2712 0.2712 0.5000
O: 0.2925 0.2925 0.0000
O: 0.7075 0.7075 0.0000
O: 0.7288 0.7288 0.5000
O: 0.8240 0.1760 0.2738
O: 0.8240 0.1760 0.7262

Most intense lines, 10 to 90 degrees two-theta, in order of rising 2θ:
Position (°2θ)	I (rel.)
17.41	16
21.96	15
24.55	62
24.89	56
32.09	100
35.24	32
48.21	43
48.60	38
61.26	33
83.71	16